[1]
Theoretical powder diffraction line list
Compound: Li3YPb2
Radiation: Cu Kα (weighted mean of Kα1 and Kα2)
Structure: a DFT-relaxed cell (PBE, Alexandria)
Peak positions follow from Bragg's law for the DFT cell and can differ from measured ones.

Principal peaks in the range 2θ = 15–90°, by intensity:
two_theta	Rel. int.
36.81	100
28.22	70
21.40	66
24.65	39
22.53	35
38.27	34
36.68	31
32.22	31

Structure:
a b c (Å): 7.6469 7.6469 8.9620
angles (deg): 116.77 116.77 35.82
Positions (direct):
Li1 0.0507 0.0507 0.3840
Li2 0.2744 0.2744 0.4558
Li3 0.4026 0.4026 0.3177
Li4 0.5974 0.5974 0.6823
Li5 0.7256 0.7256 0.5442
Li6 0.9493 0.9493 0.6160
Y1 0.1384 0.1384 0.0228
Y2 0.8616 0.8616 0.9772
Pb1 0.2101 0.2101 0.7311
Pb2 0.4557 0.4557 0.8027
Pb3 0.5443 0.5443 0.1973
Pb4 0.7899 0.7899 0.2689

[2]
Theoretical powder diffraction line list
Compound: Ga3Ni12As
Radiation: Cu Kα (weighted mean of Kα1 and Kα2)
Structure: a DFT-relaxed cell (PBE, Alexandria)
Peak positions follow from Bragg's law for the DFT cell and can differ from measured ones.

Principal peaks in the range 2θ = 15–90°, by intensity:
two_theta	Rel. int.
43.76	100
51.09	31
74.88	18
50.75	16
75.16	9

Structure:
a b c (Å): 3.5755 3.5755 14.3925
angles (deg): 90.00 90.00 90.00
Positions (direct):
Ga1 0.0000 0.0000 0.0000
Ga2 0.0000 0.0000 0.2482
Ga3 0.0000 0.0000 0.7518
Ni1 0.0000 0.5000 0.1248
Ni2 0.0000 0.5000 0.3757
Ni3 0.0000 0.5000 0.6243
Ni4 0.0000 0.5000 0.8752
Ni5 0.5000 0.0000 0.1248
Ni6 0.5000 0.0000 0.3757
Ni7 0.5000 0.0000 0.6243
Ni8 0.5000 0.0000 0.8752
Ni9 0.5000 0.5000 0.0000
Ni10 0.5000 0.5000 0.2511
Ni11 0.5000 0.5000 0.5000
Ni12 0.5000 0.5000 0.7489
As1 0.0000 0.0000 0.5000

[3]
Theoretical powder diffraction line list
Compound: TbSi2Pd7
Radiation: Cu Kα (weighted mean of Kα1 and Kα2)
Structure: a DFT-relaxed cell (PBE, Alexandria)
Peak positions follow from Bragg's law for the DFT cell and can differ from measured ones.

Principal peaks in the range 2θ = 15–90°, by intensity:
two_theta	Rel. int.
41.46	100
44.82	60
36.11	43
32.55	39
35.61	31
58.51	29
80.33	28
65.28	27

Structure:
a b c (Å): 10.4827 10.4827 10.4827
angles (deg): 157.76 157.76 31.66
Positions (direct):
Tb1 0.0000 0.0000 0.0000
Si1 0.3244 0.3244 0.0000
Si2 0.6756 0.6756 0.0000
Pd1 0.1080 0.6080 0.5000
Pd2 0.2500 0.7500 0.5000
Pd3 0.3920 0.8920 0.5000
Pd4 0.5000 0.5000 0.0000
Pd5 0.6080 0.1080 0.5000
Pd6 0.7500 0.2500 0.5000
Pd7 0.8920 0.3920 0.5000